Entry 1:
For K2Mo4O13, a DFT-relaxed cell (GGA+U, the Materials Project) gives the simulated powder XRD pattern in this record (Cu Kα (λ = 1.5418 Å)).
Neutral-atom scattering factors, no anomalous dispersion.

Main lines, by angle (15° ≤ 2θ ≤ 90°):
| two_theta | I/Imax |
| --- | --- |
| 24.57 | 100 |
| 25.44 | 74 |
| 27.18 | 42 |
| 28.16 | 43 |
| 28.62 | 48 |
| 29.64 | 72 |
| 30.63 | 54 |
| 38.01 | 38 |
| 43.64 | 41 |
| 43.85 | 33 |

Structural model:
Cell: 8.249 8.534 10.333 Å, 107.37 103.10 109.50°
Space group P-1 (No. 2)
Unique sites:
K (0.185, 0.235, 0.309) [2 per cell]
K (0.241, 0.782, 0.430) [2 per cell]
Mo (0.275, 0.203, 0.710) [2 per cell]
Mo (0.279, 0.606, 0.731) [2 per cell]
Mo (0.316, 0.507, 0.051) [2 per cell]
Mo (0.331, 0.908, 0.062) [2 per cell]
O (0.091, 0.644, 0.659) [2 per cell]
O (0.100, 0.986, 0.647) [2 per cell]
O (0.142, 0.347, 0.664) [2 per cell]
O (0.157, 0.940, 0.962) [2 per cell]
O (0.184, 0.286, 0.909) [2 per cell]
O (0.215, 0.636, 0.946) [2 per cell]
O (0.218, 0.510, 0.183) [2 per cell]
O (0.298, 0.944, 0.228) [2 per cell]
O (0.366, 0.186, 0.571) [2 per cell]
O (0.397, 0.618, 0.611) [2 per cell]
O (0.451, 0.863, 0.883) [2 per cell]
O (0.463, 0.514, 0.864) [2 per cell]
O (0.477, 0.215, 0.855) [2 per cell]



Entry 2:
For CsMn2V2ClO7, a DFT-relaxed cell (GGA+U, the Materials Project) gives the simulated powder XRD pattern in this record (Cu Kα (λ = 1.5418 Å)).
Neutral-atom scattering factors, no anomalous dispersion.

Main lines, by angle (15° ≤ 2θ ≤ 90°):
| two_theta | I/Imax |
| --- | --- |
| 22.75 | 31 |
| 25.63 | 100 |
| 28.31 | 54 |
| 28.72 | 51 |
| 31.66 | 36 |
| 33.12 | 28 |
| 43.27 | 21 |
| 44.11 | 17 |
| 46.47 | 15 |
| 52.05 | 15 |

Structural model:
Cell: 15.193 5.652 5.410 Å, 90.00 90.00 90.00°
Space group Pma2 (No. 28)
Unique sites:
Cs (0.250, 0.036, 0.000) [2 per cell]
Mn (0.000, 0.000, 0.412) [2 per cell]
Mn (0.000, 0.500, 0.031) [2 per cell]
V (0.136, 0.517, 0.504) [4 per cell]
Cl (0.000, 0.000, 0.892) [2 per cell]
O (0.069, 0.325, 0.335) [4 per cell]
O (0.113, 0.502, 0.813) [4 per cell]
O (0.120, 0.800, 0.402) [4 per cell]
O (0.250, 0.426, 0.456) [2 per cell]